# EuZr4SnO12
Theoretical PXRD pattern, Cu Kα (λ = 1.5418 Å). Input: a PBE-relaxed structure.
Lines closer than 0.1° are merged.

Main lines, in order of falling intensity (2θ = 10–80°):
19.0°, I = 100.0, hkl 1 1 1
31.3°, I = 61.3, hkl 2 2 0
31.5°, I = 59.2, hkl 0 2 2
31.0°, I = 55.4, hkl 2 0 2
56.1°, I = 28.8, hkl 2 4 2
55.1°, I = 27.4, hkl 4 2 2

Crystal structure
```
data_EuZr4SnO12
_cell_length_a 8.236
_cell_length_b 7.962
_cell_length_c 8.089
_cell_angle_alpha 90.00
_cell_angle_beta 90.00
_cell_angle_gamma 90.00
_space_group_name_H-M_alt 'A m m 2'
_space_group_IT_number 38
_space_group_name_Hall 'A 2 -2'
loop_
_atom_site_label
_atom_site_type_symbol
_atom_site_fract_x
_atom_site_fract_y
_atom_site_fract_z
Eu1 Eu 0.000 0.000 0.000
Zr1 Zr 0.245 0.245 0.739
Sn1 Sn 0.500 0.000 0.461
O1 O 0.000 0.183 0.744
O2 O 0.212 0.000 0.272
O3 O 0.219 0.186 0.989
O4 O 0.330 0.000 0.642
O5 O 0.500 0.199 0.310
```

=====

# Mn3V2Ga2Co
Theoretical PXRD pattern, Cu Kα (λ = 1.5418 Å). Input: a PBE-relaxed structure.
Lines closer than 0.1° are merged.

Main lines, in order of falling intensity (2θ = 10–80°):
44.3°, I = 100.0, hkl 1 1 0
64.5°, I = 15.0, hkl 2 0 8
26.7°, I = 2.4, hkl 0 1 2
52.5°, I = 1.4, hkl 1 0 10

Crystal structure
```
data_Mn3V2Ga2Co
_cell_length_a 4.0837
_cell_length_b 4.0837
_cell_length_c 20.0441
_cell_angle_alpha 90.00
_cell_angle_beta 90.00
_cell_angle_gamma 120.00
_space_group_name_H-M_alt 'R 3 m'
_space_group_IT_number 160
_space_group_name_Hall 'R 3 -2"'
loop_
_atom_site_label
_atom_site_type_symbol
_atom_site_fract_x
_atom_site_fract_y
_atom_site_fract_z
Mn1 Mn 0.0000 0.0000 0.0000
Mn2 Mn 0.0000 0.0000 0.2500
Mn3 Mn 0.0000 0.0000 0.7488
V1 V 0.0000 0.0000 0.3733
V2 V 0.0000 0.0000 0.8762
Ga1 Ga 0.0000 0.0000 0.1256
Ga2 Ga 0.0000 0.0000 0.6235
Co1 Co 0.0000 0.0000 0.4995
```

=====

# Ho2Th2Sc7
Theoretical PXRD pattern, Cu Kα (λ = 1.5418 Å). Input: a PBE-relaxed structure.
Lines closer than 0.1° are merged.

Main lines, in order of falling intensity (2θ = 10–80°):
35.0°, I = 100.0, hkl 2 2 1
19.6°, I = 54.2, hkl 2 2 0
32.7°, I = 32.1, hkl 0 4 0
26.4°, I = 25.1, hkl 0 0 1
33.5°, I = 20.9, hkl 6 0 0
59.9°, I = 18.1, hkl 2 6 1

Crystal structure
```
data_Ho2Th2Sc7
_cell_length_a 16.424
_cell_length_b 10.940
_cell_length_c 3.447
_cell_angle_alpha 90.00
_cell_angle_beta 102.12
_cell_angle_gamma 90.00
_space_group_name_H-M_alt 'C 1 2/m 1'
_space_group_IT_number 12
_space_group_name_Hall '-C 2y'
loop_
_atom_site_label
_atom_site_type_symbol
_atom_site_fract_x
_atom_site_fract_y
_atom_site_fract_z
Ho1 Ho 0.188 0.000 0.187
Th1 Th 0.000 0.263 0.000
Sc1 Sc 0.000 0.000 0.500
Sc2 Sc 0.120 0.500 0.120
Sc3 Sc 0.171 0.265 0.671
```